Calculated XRD peak list
Compound: PrSmTm2Th
Radiation: Cu Kα
Structure: a cell relaxed with PBE
Peak positions follow from Bragg's law for the DFT cell and can differ from measured ones.

Most intense lines, 2θ from 10° to 90°, by intensity:
31.53°, rel. 100
31.67°, rel. 41
36.37°, rel. 29
34.80°, rel. 28
15.68°, rel. 21
61.66°, rel. 21
32.61°, rel. 21
56.31°, rel. 20
30.87°, rel. 18
46.09°, rel. 16

Structural model:
Unit cell a=3.5434 b=5.6512 c=8.6908 alpha=90.00 beta=90.00 gamma=90.00
Space group Pmmm (No. 47)
Unique sites:
Pr (0.0000, 0.0000, 0.0000) [1 per cell]
Sm (0.5000, 0.0000, 0.5000) [1 per cell]
Tm (0.0000, 0.5000, 0.3209) [2 per cell]
Th (0.5000, 0.5000, 0.0000) [1 per cell]

Calculated XRD peak list
Compound: Th6P3PbSe2
Radiation: Cu Kα
Structure: a cell relaxed with PBE
Peak positions follow from Bragg's law for the DFT cell and can differ from measured ones.

Most intense lines, 2θ from 10° to 90°, by intensity:
29.77°, rel. 100
43.11°, rel. 26
42.12°, rel. 23
25.80°, rel. 23
53.03°, rel. 14
42.80°, rel. 13
70.85°, rel. 11
42.34°, rel. 11
26.00°, rel. 11
78.63°, rel. 10

Structural model:
Unit cell a=18.6234 b=4.2256 c=8.5430 alpha=90.00 beta=105.07 gamma=90.00
Space group C2/m (No. 12)
Unique sites:
Th (0.0041, 0.0000, 0.2274) [4 per cell]
Th (0.1610, 0.5000, 0.0932) [4 per cell]
Th (0.1749, 0.5000, 0.5678) [4 per cell]
P (0.0000, 0.5000, 0.0000) [2 per cell]
P (0.1647, 0.0000, 0.3276) [4 per cell]
Pb (0.0000, 0.5000, 0.5000) [2 per cell]
Se (0.1686, 0.0000, 0.8328) [4 per cell]

Calculated XRD peak list
Compound: Pm5InRh
Radiation: Cu Kα
Structure: a cell relaxed with PBE
Peak positions follow from Bragg's law for the DFT cell and can differ from measured ones.

Most intense lines, 2θ from 10° to 90°, by intensity:
32.11°, rel. 100
29.92°, rel. 68
30.03°, rel. 65
30.72°, rel. 57
30.31°, rel. 57
32.88°, rel. 49
39.06°, rel. 42
36.08°, rel. 37
51.77°, rel. 28
49.88°, rel. 22

Structural model:
Unit cell a=9.4166 b=7.7681 c=11.9092 alpha=90.00 beta=105.76 gamma=90.00
Space group C2/c (No. 15)
Unique sites:
Pm (0.0000, 0.0031, 0.2500) [4 per cell]
Pm (0.1205, 0.3361, 0.5577) [8 per cell]
Pm (0.2485, 0.1769, 0.1266) [8 per cell]
In (0.0000, 0.4089, 0.2500) [4 per cell]
Rh (0.0000, 0.0000, 0.0000) [4 per cell]

Calculated XRD peak list
Compound: Cs3K6Tl2
Radiation: Cu Kα
Structure: a cell relaxed with PBE
Peak positions follow from Bragg's law for the DFT cell and can differ from measured ones.

Most intense lines, 2θ from 10° to 90°, by intensity:
18.28°, rel. 100
25.97°, rel. 95
21.16°, rel. 61
37.08°, rel. 57
27.23°, rel. 51
15.15°, rel. 44
41.75°, rel. 44
37.98°, rel. 42
24.29°, rel. 42
32.12°, rel. 41

Structural model:
Unit cell a=6.8630 b=6.8630 c=33.5388 alpha=90.00 beta=90.00 gamma=90.00
Space group I4/mmm (No. 139)
Unique sites:
Cs (0.0000, 0.0000, 0.0000) [2 per cell]
Cs (0.0000, 0.0000, 0.1984) [4 per cell]
K (0.0000, 0.0000, 0.3413) [4 per cell]
K (0.0000, 0.5000, 0.0815) [8 per cell]
Tl (0.0000, 0.0000, 0.4564) [4 per cell]

Calculated XRD peak list
Compound: TbFe10Mo2
Radiation: Cu Kα
Structure: a cell relaxed with PBE
Peak positions follow from Bragg's law for the DFT cell and can differ from measured ones.

Most intense lines, 2θ from 10° to 90°, by intensity:
43.79°, rel. 100
42.57°, rel. 86
42.67°, rel. 62
36.90°, rel. 49
42.40°, rel. 47
36.70°, rel. 44
48.92°, rel. 34
42.07°, rel. 31
38.10°, rel. 30
71.95°, rel. 29

Structural model:
Unit cell a=4.7238 b=8.5281 c=8.5905 alpha=90.00 beta=90.00 gamma=90.00
Space group Immm (No. 71)
Unique sites:
Tb (0.0000, 0.0000, 0.0000) [2 per cell]
Fe (0.0000, 0.2811, 0.5000) [4 per cell]
Fe (0.0000, 0.3577, 0.0000) [4 per cell]
Fe (0.0000, 0.5000, 0.2729) [4 per cell]
Fe (0.2500, 0.2500, 0.2500) [8 per cell]
Mo (0.0000, 0.0000, 0.3574) [4 per cell]

Calculated XRD peak list
Compound: ErBiF6
Radiation: Cu Kα
Structure: a cell relaxed with PBE
Peak positions follow from Bragg's law for the DFT cell and can differ from measured ones.

Most intense lines, 2θ from 10° to 90°, by intensity:
27.55°, rel. 100
23.45°, rel. 89
43.83°, rel. 74
51.03°, rel. 23
56.20°, rel. 21
33.40°, rel. 19
47.96°, rel. 19
54.05°, rel. 17
66.98°, rel. 16
56.88°, rel. 15

Structural model:
Unit cell a=5.3654 b=5.3654 c=8.1192 alpha=90.00 beta=90.00 gamma=90.00
Space group P4_2/m (No. 84)
Unique sites:
Er (0.0000, 0.0000, 0.2500) [2 per cell]
Bi (0.5000, 0.5000, 0.0000) [2 per cell]
F (0.1659, 0.8072, 0.0000) [4 per cell]
F (0.2500, 0.7036, 0.3203) [8 per cell]

Calculated XRD peak list
Compound: Fe12SiB5
Radiation: Cu Kα
Structure: a cell relaxed with PBE
Peak positions follow from Bragg's law for the DFT cell and can differ from measured ones.

Most intense lines, 2θ from 10° to 90°, by intensity:
45.22°, rel. 100
47.46°, rel. 44
48.81°, rel. 39
41.51°, rel. 35
36.23°, rel. 35
55.79°, rel. 32
43.24°, rel. 29
38.24°, rel. 26
50.24°, rel. 24
89.85°, rel. 18

Structural model:
Unit cell a=6.5947 b=6.8181 c=7.5235 alpha=90.00 beta=90.00 gamma=90.00
Space group Immm (No. 71)
Unique sites:
Fe (0.0000, 0.1948, 0.2346) [8 per cell]
Fe (0.1995, 0.5000, 0.1764) [8 per cell]
Fe (0.2192, 0.3161, 0.5000) [8 per cell]
Si (0.0000, 0.0000, 0.5000) [2 per cell]
B (0.0000, 0.0000, 0.0000) [2 per cell]
B (0.0000, 0.3616, 0.0000) [4 per cell]
B (0.0000, 0.5000, 0.3804) [4 per cell]

Calculated XRD peak list
Compound: MnMoN
Radiation: Cu Kα
Structure: a cell relaxed with PBE
Peak positions follow from Bragg's law for the DFT cell and can differ from measured ones.

Most intense lines, 2θ from 10° to 90°, by intensity:
40.53°, rel. 100
40.64°, rel. 62
40.42°, rel. 53
39.22°, rel. 51
40.19°, rel. 34
63.03°, rel. 31
35.34°, rel. 30
72.10°, rel. 21
53.90°, rel. 19
53.73°, rel. 18

Structural model:
Unit cell a=4.5943 b=5.8492 c=5.1241 alpha=90.00 beta=90.38 gamma=90.00
Space group P2_1/c (No. 14)
Unique sites:
Mn (0.2466, 0.1208, 0.4023) [4 per cell]
Mo (0.2441, 0.6176, 0.4208) [4 per cell]
N (0.4915, 0.1270, 0.7358) [4 per cell]